(1)
Diffraction record for HoMnGa4. The powder diffractogram is theoretical, not measured: it uses a DFT-relaxed cell (GGA-PBE, Alexandria) and Cu Kα, 1.54184 Å.
Peak positions follow from Bragg's law for the DFT cell and can differ from measured ones.

Structure:
```
HoMnGa4
1.0
5.478 -2.823 0.000
5.478 2.823 0.000
-0.284 0.000 7.550
Ho Mn Ga
2 2 8
Cartesian
5.265 2.119 5.662
5.407 -2.119 1.887
2.597 1.412 3.775
2.739 -1.412 0.000
2.413 0.881 6.317
4.802 0.770 2.948
2.555 -0.881 2.542
6.013 0.770 0.827
4.660 -0.770 6.723
8.117 0.881 5.008
5.871 -0.770 4.602
8.259 -0.881 1.233
```

Main lines, sorted by position (5 to 70 degrees two-theta):
| 2θ (°) | I_rel |
| --- | --- |
| 29.4 | 61 |
| 31.1 | 26 |
| 32.7 | 67 |
| 37.6 | 43 |
| 38.0 | 100 |
| 40.4 | 63 |
| 41.5 | 24 |
| 45.9 | 48 |


(2)
Diffraction record for Ho3Mn3Ga2Si. The powder diffractogram is theoretical, not measured: it uses a DFT-relaxed cell (GGA-PBE, Alexandria) and Cu Kα, 1.54184 Å.
Peak positions follow from Bragg's law for the DFT cell and can differ from measured ones.

Structure:
```
Ho3Mn3Ga2Si
1.0
7.048 0.000 0.000
-3.524 6.104 0.000
0.000 0.000 3.921
Ho Mn Ga Si
3 3 2 1
Cartesian
-2.089 3.618 0.000
1.435 2.486 0.000
4.177 0.000 0.000
-0.774 1.341 1.960
1.549 0.000 1.960
2.750 4.762 1.960
0.000 4.069 1.960
3.524 2.035 1.960
0.000 0.000 0.000
```

Main lines, sorted by position (5 to 70 degrees two-theta):
| 2θ (°) | I_rel |
| --- | --- |
| 25.3 | 25 |
| 34.2 | 100 |
| 37.3 | 59 |
| 39.0 | 38 |
| 46.3 | 19 |
| 54.2 | 17 |
| 59.5 | 30 |
| 62.1 | 19 |


(3)
Diffraction record for Ho3Mn3Ga2Si. The powder diffractogram is theoretical, not measured: it uses a DFT-relaxed cell (GGA-PBE, Alexandria) and Cu Kα, 1.54184 Å.
Peak positions follow from Bragg's law for the DFT cell and can differ from measured ones.

Structure:
```
Ho3Mn3Ga2Si
1.0
6.940 0.000 0.000
-3.470 6.010 0.000
0.000 0.000 4.139
Ho Mn Ga Si
3 3 2 1
Cartesian
-1.439 2.543 0.000
-0.549 5.986 0.000
1.988 3.493 0.000
-2.591 4.638 2.070
0.749 1.447 2.070
1.842 5.936 2.070
0.000 0.000 0.000
3.470 2.003 2.070
0.000 4.007 2.070
```

Main lines, sorted by position (5 to 70 degrees two-theta):
| 2θ (°) | I_rel |
| --- | --- |
| 21.5 | 20 |
| 29.7 | 32 |
| 33.7 | 88 |
| 37.0 | 100 |
| 39.7 | 39 |
| 43.7 | 26 |
| 59.8 | 34 |
| 60.5 | 22 |


(4)
Diffraction record for Ho4GaN. The powder diffractogram is theoretical, not measured: it uses a DFT-relaxed cell (GGA-PBE, Alexandria) and Cu Kα, 1.54184 Å.
Peak positions follow from Bragg's law for the DFT cell and can differ from measured ones.

Structure:
```
Ho4GaN
1.0
5.810 0.000 0.000
0.000 3.526 0.000
-1.016 0.000 7.198
Ho Ga N
4 1 1
Cartesian
0.893 0.000 2.759
0.809 1.763 5.647
3.986 1.763 1.551
3.901 0.000 4.439
0.000 0.000 0.000
-0.508 1.763 3.599
```

Main lines, sorted by position (5 to 70 degrees two-theta):
| 2θ (°) | I_rel |
| --- | --- |
| 31.1 | 95 |
| 31.4 | 100 |
| 33.1 | 57 |
| 35.6 | 32 |
| 38.6 | 35 |
| 45.7 | 24 |
| 57.7 | 26 |
| 61.7 | 27 |


(5)
Diffraction record for HoPa2GaN5. The powder diffractogram is theoretical, not measured: it uses a DFT-relaxed cell (GGA-PBE, Alexandria) and Cu Kα, 1.54184 Å.
Peak positions follow from Bragg's law for the DFT cell and can differ from measured ones.

Structure:
```
HoPa2GaN5
1.0
1.717 -6.837 0.000
1.717 6.837 0.000
0.000 0.000 10.804
Ho Pa Ga N
2 4 2 10
Cartesian
1.717 3.937 5.402
1.717 -3.937 0.000
1.717 5.109 8.327
1.717 4.973 2.290
1.717 -4.973 7.692
1.717 -5.109 2.925
1.717 -0.005 0.018
1.717 0.005 5.421
1.717 6.181 6.186
1.717 2.858 9.113
1.717 2.815 1.741
1.717 1.819 6.203
1.717 0.250 3.424
1.717 -0.250 8.826
1.717 -1.819 0.801
1.717 -2.815 7.143
1.717 -2.858 3.711
1.717 -6.181 0.784
```

Main lines, sorted by position (5 to 70 degrees two-theta):
| 2θ (°) | I_rel |
| --- | --- |
| 28.0 | 44 |
| 31.0 | 100 |
| 31.6 | 57 |
| 32.6 | 71 |
| 33.2 | 38 |
| 36.7 | 62 |
| 47.2 | 42 |
| 56.8 | 43 |


(6)
Diffraction record for Na3Ho3GaTe8. The powder diffractogram is theoretical, not measured: it uses a DFT-relaxed cell (GGA-PBE, Alexandria) and Cu Kα, 1.54184 Å.
Peak positions follow from Bragg's law for the DFT cell and can differ from measured ones.

Structure:
```
Na3Ho3GaTe8
1.0
8.594 0.000 0.000
4.295 7.445 0.000
0.003 4.944 7.781
Na Ho Ga Te
3 3 1 8
Cartesian
0.000 0.000 0.000
2.147 3.722 0.000
4.297 0.000 0.000
0.001 2.472 3.891
4.298 2.472 3.891
6.445 6.194 3.891
2.149 6.194 3.891
4.209 7.384 5.613
2.148 3.809 5.615
4.192 5.016 2.179
6.447 8.677 2.086
6.444 3.712 5.696
8.698 7.372 5.603
10.742 8.580 2.167
8.682 5.005 2.168
```

Main lines, sorted by position (5 to 70 degrees two-theta):
| 2θ (°) | I_rel |
| --- | --- |
| 11.4 | 46 |
| 24.2 | 11 |
| 28.4 | 100 |
| 36.2 | 16 |
| 39.2 | 38 |
| 42.1 | 35 |
| 51.5 | 19 |
| 68.6 | 15 |


(7)
Diffraction record for NdHo3Ga3. The powder diffractogram is theoretical, not measured: it uses a DFT-relaxed cell (GGA-PBE, Alexandria) and Cu Kα, 1.54184 Å.
Peak positions follow from Bragg's law for the DFT cell and can differ from measured ones.

Structure:
```
NdHo3Ga3
1.0
9.226 0.000 0.000
-4.613 7.990 0.000
0.000 0.000 4.784
Nd Ho Ga
2 6 6
Cartesian
0.000 5.326 1.196
4.613 2.663 3.588
-1.012 2.047 3.588
-2.334 7.843 3.588
1.267 1.900 1.196
3.346 6.089 3.588
6.947 0.147 1.196
5.625 5.942 1.196
-2.278 4.863 3.588
1.540 3.585 3.588
3.875 0.459 1.196
0.738 7.531 3.588
3.073 4.404 1.196
6.891 3.126 1.196
```

Main lines, sorted by position (5 to 70 degrees two-theta):
| 2θ (°) | I_rel |
| --- | --- |
| 26.8 | 18 |
| 29.1 | 20 |
| 29.6 | 25 |
| 33.7 | 13 |
| 35.1 | 100 |
| 37.6 | 25 |
| 53.5 | 15 |
| 66.3 | 25 |


(8)
Diffraction record for NdHoGa. The powder diffractogram is theoretical, not measured: it uses a DFT-relaxed cell (GGA-PBE, Alexandria) and Cu Kα, 1.54184 Å.
Peak positions follow from Bragg's law for the DFT cell and can differ from measured ones.

Structure:
```
NdHoGa
1.0
3.528 0.000 0.000
0.000 3.528 0.000
0.000 0.000 13.241
Nd Ho Ga
2 2 2
Cartesian
0.000 0.000 0.000
1.764 1.764 6.621
0.000 0.000 9.417
1.764 1.764 2.797
0.000 0.000 4.597
1.764 1.764 11.217
```

Main lines, sorted by position (5 to 70 degrees two-theta):
| 2θ (°) | I_rel |
| --- | --- |
| 26.1 | 19 |
| 26.9 | 13 |
| 32.5 | 100 |
| 36.0 | 44 |
| 51.8 | 16 |
| 55.6 | 16 |
| 62.5 | 30 |
| 68.0 | 13 |


(9)
Diffraction record for NdHo8Ga6. The powder diffractogram is theoretical, not measured: it uses a DFT-relaxed cell (GGA-PBE, Alexandria) and Cu Kα, 1.54184 Å.
Peak positions follow from Bragg's law for the DFT cell and can differ from measured ones.

Structure:
```
NdHo8Ga6
1.0
4.329 2.500 6.132
-4.329 2.500 6.132
0.000 -4.999 6.132
Nd Ho Ga
1 8 6
Cartesian
0.000 0.000 0.000
-2.881 0.005 8.189
-1.445 -2.493 10.207
0.000 0.000 6.113
1.437 -2.498 8.189
-1.437 2.498 10.206
0.000 0.000 12.282
1.445 2.493 8.189
2.881 -0.005 10.206
-1.468 -2.451 7.231
-2.857 0.046 11.164
-1.389 2.497 7.231
1.389 -2.497 11.164
2.857 -0.046 7.231
1.468 2.451 11.164
```

Main lines, sorted by position (5 to 70 degrees two-theta):
| 2θ (°) | I_rel |
| --- | --- |
| 14.4 | 1 |
| 20.5 | 3 |
| 25.2 | 38 |
| 35.9 | 100 |
| 44.4 | 11 |
| 51.7 | 18 |
| 58.3 | 15 |
| 64.5 | 36 |


(10)
Diffraction record for NdHo2Ga3. The powder diffractogram is theoretical, not measured: it uses a DFT-relaxed cell (GGA-PBE, Alexandria) and Cu Kα, 1.54184 Å.
Peak positions follow from Bragg's law for the DFT cell and can differ from measured ones.

Structure:
```
NdHo2Ga3
1.0
-4.791 5.295 3.036
4.791 -5.295 3.036
4.791 5.295 -3.036
Nd Ho Ga
2 4 6
Cartesian
0.000 2.648 1.514
4.791 2.648 1.522
4.791 4.406 -1.517
4.791 -0.889 1.517
0.000 6.184 1.519
0.000 0.889 4.553
2.396 2.648 -1.518
2.394 0.000 0.000
2.396 -2.648 1.518
7.188 0.000 0.000
2.394 5.295 0.000
2.397 0.000 3.036
```

Main lines, sorted by position (5 to 70 degrees two-theta):
| 2θ (°) | I_rel |
| --- | --- |
| 18.5 | 25 |
| 29.3 | 42 |
| 34.9 | 100 |
| 35.0 | 49 |
| 37.5 | 33 |
| 48.3 | 21 |
| 55.8 | 26 |
| 66.0 | 24 |


(11)
Diffraction record for Nd3HoGa3. The powder diffractogram is theoretical, not measured: it uses a DFT-relaxed cell (GGA-PBE, Alexandria) and Cu Kα, 1.54184 Å.
Peak positions follow from Bragg's law for the DFT cell and can differ from measured ones.

Structure:
```
Nd3HoGa3
1.0
9.400 0.000 0.000
-4.700 8.140 0.000
0.000 0.000 4.852
Nd Ho Ga
6 2 6
Cartesian
-1.053 2.119 1.213
-2.338 7.992 1.213
1.309 1.971 3.639
3.391 6.169 1.213
7.038 0.148 3.639
5.753 6.021 3.639
0.000 5.427 3.639
4.700 2.713 1.213
-2.281 4.928 1.213
1.573 3.701 1.213
3.992 0.489 3.639
0.708 7.652 1.213
3.127 4.439 3.639
6.981 3.213 3.639
```

Main lines, sorted by position (5 to 70 degrees two-theta):
| 2θ (°) | I_rel |
| --- | --- |
| 26.4 | 16 |
| 28.6 | 23 |
| 29.0 | 26 |
| 33.0 | 16 |
| 34.5 | 100 |
| 37.1 | 26 |
| 52.5 | 15 |
| 65.1 | 26 |


(12)
Diffraction record for NdHoGa6. The powder diffractogram is theoretical, not measured: it uses a DFT-relaxed cell (GGA-PBE, Alexandria) and Cu Kα, 1.54184 Å.
Peak positions follow from Bragg's law for the DFT cell and can differ from measured ones.

Structure:
```
NdHoGa6
1.0
6.347 0.000 0.000
-3.174 5.497 0.000
0.000 0.000 4.602
Nd Ho Ga
1 1 6
Cartesian
0.000 0.000 0.000
3.174 1.832 2.301
-1.399 2.857 0.000
0.000 2.087 2.301
-1.367 4.454 2.301
1.399 2.857 0.000
0.000 5.280 0.000
1.367 4.454 2.301
```

Main lines, sorted by position (5 to 70 degrees two-theta):
| 2θ (°) | I_rel |
| --- | --- |
| 25.2 | 23 |
| 28.1 | 10 |
| 32.6 | 25 |
| 38.1 | 100 |
| 39.2 | 22 |
| 43.6 | 8 |
| 51.8 | 13 |
| 58.1 | 16 |


What did the third record say?
Diffraction record for Ho3Mn3Ga2Si. The powder diffractogram is theoretical, not measured: it uses a DFT-relaxed cell (GGA-PBE, Alexandria) and Cu Kα, 1.54184 Å.
Peak positions follow from Bragg's law for the DFT cell and can differ from measured ones.

Structure:
```
Ho3Mn3Ga2Si
1.0
6.940 0.000 0.000
-3.470 6.010 0.000
0.000 0.000 4.139
Ho Mn Ga Si
3 3 2 1
Cartesian
-1.439 2.543 0.000
-0.549 5.986 0.000
1.988 3.493 0.000
-2.591 4.638 2.070
0.749 1.447 2.070
1.842 5.936 2.070
0.000 0.000 0.000
3.470 2.003 2.070
0.000 4.007 2.070
```

Main lines, sorted by position (5 to 70 degrees two-theta):
| 2θ (°) | I_rel |
| --- | --- |
| 21.5 | 20 |
| 29.7 | 32 |
| 33.7 | 88 |
| 37.0 | 100 |
| 39.7 | 39 |
| 43.7 | 26 |
| 59.8 | 34 |
| 60.5 | 22 |